The following is a computed powder XRD pattern of InAg2As. It was derived from DFT lattice parameters and positions (GGA-PBE), using CuKα.
Kinematic intensities with the Lorentz-polarization factor, no thermal factor.

Atomic structure:
abc: 6.082 8.549 3.068
angles: 90.00 90.00 90.00
Sites, in units of the cell vectors:
In: 0.000 0.000 0.000
In: 0.500 0.500 0.000
Ag: 0.250 0.250 0.500
Ag: 0.250 0.750 0.500
Ag: 0.750 0.250 0.500
Ag: 0.750 0.750 0.500
As: 0.000 0.500 0.000
As: 0.500 0.000 0.000

The 10 most intense peaks (2θ = 10–90°), in order of rising 2θ:
36.0°, rel. 100.0; 36.3°, rel. 98.3; 41.8°, rel. 65.2; 42.3°, rel. 31.6; 60.3°, rel. 10.6; 61.0°, rel. 51.0; 72.5°, rel. 24.2; 72.9°, rel. 23.8; 73.2°, rel. 11.7; 73.4°, rel. 11.7